(1)
Theoretical powder diffraction line list of Na3ReCl8 for copper Kα, from a DFT-relaxed cell (GGA-PBE, Alexandria).

Most intense lines, 2θ = 10–80°, in order of falling intensity:
2theta, d [Å], I/Imax
13.78, 6.427, 1000
17.55, 5.054, 536
31.88, 2.807, 460
10.81, 8.181, 422
25.81, 3.452, 352
18.75, 4.732, 332
44.94, 2.017, 261
42.19, 2.142, 245
30.83, 2.900, 235
46.55, 1.951, 186

Atomic structure:
```
Na3ReCl8
1.0
3.8599 -5.8008 0.0000
3.8599 5.8008 0.0000
0.0000 0.0000 8.1809
Na Re Cl
3 1 8
direct
0.0000 0.0000 0.0000
0.0000 0.5000 0.7790
0.5000 0.0000 0.2210
0.0000 0.0000 0.5000
0.2017 0.7983 0.5000
0.2143 0.2189 0.7014
0.2189 0.2143 0.2986
0.2282 0.7718 0.0000
0.7718 0.2282 0.0000
0.7811 0.7857 0.2986
0.7857 0.7811 0.7014
0.7983 0.2017 0.5000
```


(2)
Theoretical powder diffraction line list of Na2RuCl7 for copper Kα, from a DFT-relaxed cell (GGA-PBE, Alexandria).

Most intense lines, 2θ = 10–80°, in order of falling intensity:
2theta, d [Å], I/Imax
13.68, 6.474, 1000
14.18, 6.245, 766
19.08, 4.652, 371
37.42, 2.404, 216
14.90, 5.945, 208
31.61, 2.830, 172
38.64, 2.330, 157
32.60, 2.747, 156
13.87, 6.384, 144
29.59, 3.019, 123

Atomic structure:
```
Na2RuCl7
1.0
8.3173 -3.6690 0.0000
8.3173 3.6690 0.0000
-7.5158 0.0000 9.3199
Na Ru Cl
4 2 14
direct
0.1622 0.6838 0.9766
0.3162 0.8378 0.5234
0.6838 0.1622 0.4766
0.8378 0.3162 0.0234
0.1949 0.8051 0.7500
0.8051 0.1949 0.2500
0.0548 0.2599 0.2975
0.0705 0.7312 0.4965
0.1376 0.8624 0.2500
0.2599 0.0548 0.7975
0.2688 0.9295 0.0035
0.3969 0.4689 0.7886
0.4689 0.3969 0.2886
0.5311 0.6031 0.7114
0.6031 0.5311 0.2114
0.7312 0.0705 0.9965
0.7401 0.9452 0.2025
0.8624 0.1376 0.7500
0.9295 0.2688 0.5035
0.9452 0.7401 0.7025
```


(3)
Theoretical powder diffraction line list of NaRuCl5 for copper Kα, from a DFT-relaxed cell (GGA-PBE, Alexandria).

Most intense lines, 2θ = 10–80°, in order of falling intensity:
2theta, d [Å], I/Imax
14.42, 6.142, 1000
13.88, 6.379, 971
23.25, 3.826, 341
29.09, 3.069, 340
20.91, 4.248, 254
38.17, 2.358, 238
34.11, 2.629, 206
25.19, 3.535, 176
27.69, 3.222, 160
52.64, 1.739, 150

Atomic structure:
```
NaRuCl5
1.0
3.5782 -6.3788 0.0000
3.5782 6.3788 0.0000
-1.7576 0.0000 8.4950
Na Ru Cl
2 2 10
direct
0.0534 0.9466 0.7500
0.9466 0.0534 0.2500
0.5000 0.5000 0.0000
0.5000 0.5000 0.5000
0.1197 0.2809 0.9880
0.1994 0.5020 0.3915
0.2809 0.1197 0.4880
0.4213 0.5787 0.7500
0.4980 0.8006 0.1085
0.5020 0.1994 0.8915
0.5787 0.4213 0.2500
0.7191 0.8803 0.5120
0.8006 0.4980 0.6085
0.8803 0.7191 0.0120
```


(4)
Theoretical powder diffraction line list of NaRu2Cl11 for copper Kα, from a DFT-relaxed cell (GGA-PBE, Alexandria).

Most intense lines, 2θ = 10–80°, in order of falling intensity:
2theta, d [Å], I/Imax
13.69, 6.468, 1000
18.75, 4.733, 815
35.71, 2.515, 673
18.93, 4.689, 635
17.64, 5.029, 437
36.45, 2.465, 387
56.93, 1.617, 234
33.62, 2.666, 209
20.97, 4.236, 194
11.06, 7.997, 166

Atomic structure:
```
NaRu2Cl11
1.0
-5.6049 5.7066 6.4679
5.6049 -5.7066 6.4679
5.6049 5.7066 -6.4679
Na Ru Cl
2 4 22
direct
0.2500 0.2500 0.0000
0.7500 0.7500 0.0000
0.1553 0.6665 0.8218
0.3447 0.1665 0.5112
0.6553 0.8335 0.4888
0.8447 0.3335 0.1782
0.0000 0.5000 0.5000
0.0804 0.3636 0.1918
0.1216 0.9325 0.3093
0.1232 0.4325 0.8109
0.1718 0.8886 0.8082
0.2088 0.3068 0.5156
0.2912 0.8068 0.0981
0.3282 0.1364 0.7168
0.3768 0.1877 0.3093
0.3784 0.6877 0.8109
0.4196 0.6114 0.2832
0.5000 0.0000 0.5000
0.5804 0.3886 0.7168
0.6216 0.3123 0.1891
0.6232 0.8123 0.6907
0.6718 0.8636 0.2832
0.7088 0.1932 0.9019
0.7912 0.6932 0.4844
0.8282 0.1114 0.1918
0.8768 0.5675 0.1891
0.8784 0.0675 0.6907
0.9196 0.6364 0.8082
```


(5)
Theoretical powder diffraction line list of NaRuCl4 for copper Kα, from a DFT-relaxed cell (GGA-PBE, Alexandria).

Most intense lines, 2θ = 10–80°, in order of falling intensity:
2theta, d [Å], I/Imax
14.80, 5.986, 1000
33.81, 2.651, 706
13.01, 6.804, 674
17.40, 5.095, 396
33.07, 2.709, 339
49.75, 1.833, 320
27.85, 3.203, 246
44.63, 2.030, 231
46.22, 1.964, 191
26.19, 3.402, 157

Atomic structure:
```
NaRuCl4
1.0
6.1416 -1.8335 0.0000
6.1416 1.8335 0.0000
-1.5628 0.0000 6.8042
Na Ru Cl
1 1 4
direct
0.0000 0.0000 0.0000
0.5000 0.5000 0.5000
0.1082 0.1082 0.4193
0.3876 0.3876 0.1759
0.6124 0.6124 0.8241
0.8918 0.8918 0.5807
```


(6)
Theoretical powder diffraction line list of NaSCl6 for copper Kα, from a DFT-relaxed cell (GGA-PBE, Alexandria).

Most intense lines, 2θ = 10–80°, in order of falling intensity:
2theta, d [Å], I/Imax
28.74, 3.106, 1000
17.20, 5.156, 981
16.53, 5.361, 692
22.85, 3.891, 684
35.90, 2.502, 638
38.59, 2.333, 634
46.69, 1.946, 541
36.17, 2.484, 532
53.31, 1.719, 409
24.68, 3.607, 361

Atomic structure:
```
NaSCl6
1.0
3.6183 -5.3614 0.0000
3.6183 5.3614 0.0000
-3.1785 0.0000 5.6566
Na S Cl
1 1 6
direct
0.0000 0.0000 0.0000
0.5000 0.5000 0.5000
0.1921 0.1921 0.5133
0.2181 0.5165 0.2172
0.4835 0.7819 0.7828
0.5165 0.2181 0.2172
0.7819 0.4835 0.7828
0.8079 0.8079 0.4867
```


(7)
Theoretical powder diffraction line list of NaSCl3 for copper Kα, from a DFT-relaxed cell (GGA-PBE, Alexandria).

Most intense lines, 2θ = 10–80°, in order of falling intensity:
2theta, d [Å], I/Imax
19.19, 4.624, 1000
32.54, 2.752, 819
25.52, 3.490, 623
23.54, 3.779, 472
18.55, 4.782, 389
35.50, 2.528, 371
31.99, 2.798, 309
28.87, 3.092, 303
50.52, 1.807, 293
42.80, 2.113, 266

Atomic structure:
```
NaSCl3
1.0
9.1414 0.0000 0.0000
0.0000 7.2041 0.0000
-2.1437 0.0000 9.9072
Na S Cl
4 4 12
direct
0.0816 0.1765 0.1309
0.0816 0.3235 0.6309
0.9184 0.6765 0.3691
0.9184 0.8235 0.8691
0.2207 0.5717 0.1628
0.2207 0.9283 0.6628
0.7793 0.0717 0.3372
0.7793 0.4283 0.8372
0.0314 0.1684 0.8587
0.0314 0.3316 0.3587
0.2760 0.6945 0.9982
0.2760 0.8055 0.4982
0.3816 0.1376 0.7046
0.3816 0.3624 0.2046
0.6184 0.6376 0.7954
0.6184 0.8624 0.2954
0.7240 0.1945 0.5018
0.7240 0.3055 0.0018
0.9686 0.6684 0.6413
0.9686 0.8316 0.1413
```


(8)
Theoretical powder diffraction line list of Na5SbS4Cl2 for copper Kα, from a DFT-relaxed cell (GGA-PBE, Alexandria).

Most intense lines, 2θ = 10–80°, in order of falling intensity:
2theta, d [Å], I/Imax
37.73, 2.384, 1000
26.55, 3.357, 961
26.76, 3.331, 931
15.10, 5.866, 785
18.61, 4.769, 618
10.81, 8.187, 399
18.92, 4.690, 368
47.41, 1.918, 340
47.01, 1.933, 248
44.25, 2.047, 241

Atomic structure:
```
Na5SbS4Cl2
1.0
8.1870 0.0000 0.0000
0.0000 5.7228 3.4159
0.0000 -5.7228 3.4159
Na Sb S Cl
5 1 4 2
direct
0.0000 0.0000 0.0000
0.2503 0.3204 0.7091
0.2503 0.7091 0.3204
0.7497 0.3204 0.7091
0.7497 0.7091 0.3204
0.5000 0.0450 0.0450
0.2660 0.2471 0.2471
0.5000 0.0057 0.6718
0.5000 0.6718 0.0057
0.7340 0.2471 0.2471
0.0000 0.5879 0.9709
0.0000 0.9709 0.5879
```


(9)
Theoretical powder diffraction line list of NaSiSCl2 for copper Kα, from a DFT-relaxed cell (GGA-PBE, Alexandria).

Most intense lines, 2θ = 10–80°, in order of falling intensity:
2theta, d [Å], I/Imax
32.20, 2.780, 1000
36.02, 2.493, 878
54.84, 1.674, 456
17.79, 4.987, 379
39.91, 2.259, 319
51.86, 1.763, 274
67.38, 1.390, 235
62.37, 1.489, 227
19.65, 4.518, 186
76.39, 1.247, 87

Atomic structure:
```
NaSiSCl2
1.0
4.9866 0.0000 0.0000
0.0000 4.9866 0.0000
0.0000 0.0000 4.5177
Na Si S Cl
1 1 1 2
direct
0.0000 0.0000 0.0000
0.5000 0.5000 0.5000
0.5000 0.5000 0.0000
0.0000 0.5000 0.5000
0.5000 0.0000 0.5000
```


(10)
Theoretical powder diffraction line list of Na2SbCl4 for copper Kα, from a DFT-relaxed cell (GGA-PBE, Alexandria).

Most intense lines, 2θ = 10–80°, in order of falling intensity:
2theta, d [Å], I/Imax
16.89, 5.250, 1000
29.12, 3.067, 813
30.16, 2.963, 610
35.37, 2.538, 590
46.44, 1.955, 414
23.11, 3.849, 299
42.67, 2.119, 206
54.04, 1.697, 191
50.88, 1.795, 189
45.24, 2.004, 187

Atomic structure:
```
Na2SbCl4
1.0
-3.5891 3.5891 3.8488
3.5891 -3.5891 3.8488
3.5891 3.5891 -3.8488
Na Sb Cl
2 1 4
direct
0.2500 0.7500 0.5000
0.7500 0.2500 0.5000
0.0000 0.0000 0.0000
0.1965 0.6807 0.0000
0.3193 0.3193 0.5157
0.6807 0.1965 0.0000
0.8035 0.8035 0.4843
```


(11)
Theoretical powder diffraction line list of NaSbCl5 for copper Kα, from a DFT-relaxed cell (GGA-PBE, Alexandria).

Most intense lines, 2θ = 10–80°, in order of falling intensity:
2theta, d [Å], I/Imax
13.95, 6.350, 1000
18.77, 4.728, 901
33.97, 2.639, 370
16.65, 5.324, 346
22.48, 3.955, 320
35.06, 2.560, 275
33.67, 2.662, 231
27.55, 3.238, 217
40.85, 2.209, 179
42.72, 2.117, 156

Atomic structure:
```
NaSbCl5
1.0
4.7232 -5.3238 0.0000
4.7232 5.3238 0.0000
-3.6773 0.0000 8.8398
Na Sb Cl
2 2 10
direct
0.0594 0.9406 0.7500
0.9406 0.0594 0.2500
0.0000 0.5000 0.0000
0.5000 0.0000 0.5000
0.1985 0.6189 0.8498
0.2026 0.2378 0.0306
0.2378 0.2026 0.5306
0.2384 0.7615 0.2500
0.3811 0.8015 0.6502
0.6189 0.1985 0.3498
0.7615 0.2384 0.7500
0.7622 0.7974 0.4694
0.7974 0.7622 0.9694
0.8015 0.3811 0.1502
```


(12)
Theoretical powder diffraction line list of NaSb3Cl9 for copper Kα, from a DFT-relaxed cell (GGA-PBE, Alexandria).

Most intense lines, 2θ = 10–80°, in order of falling intensity:
2theta, d [Å], I/Imax
18.78, 4.726, 1000
15.11, 5.865, 573
17.68, 5.017, 488
16.94, 5.235, 388
27.19, 3.280, 363
16.83, 5.268, 348
35.34, 2.540, 271
27.05, 3.297, 260
18.03, 4.921, 228
47.90, 1.899, 207

Atomic structure:
```
NaSb3Cl9
1.0
8.6326 -6.4486 0.0000
8.6326 6.4486 0.0000
-4.8774 0.0000 9.1362
Na Sb Cl
2 6 18
direct
0.1784 0.8216 0.5000
0.8216 0.1784 0.0000
0.2204 0.6074 0.0545
0.2275 0.9912 0.8966
0.6074 0.2204 0.5545
0.7259 0.7678 0.1289
0.7678 0.7259 0.6289
0.9912 0.2275 0.3966
0.0336 0.0728 0.5671
0.0728 0.0336 0.0671
0.1264 0.7876 0.7432
0.1881 0.4014 0.0617
0.3434 0.6923 0.3123
0.3918 0.9068 0.7468
0.4014 0.1881 0.5617
0.4021 0.8972 0.0809
0.4169 0.5097 0.9767
0.5097 0.4169 0.4767
0.6880 0.8426 0.3651
0.6923 0.3434 0.8123
0.7163 0.9716 0.7340
0.7876 0.1264 0.2432
0.8426 0.6880 0.8651
0.8972 0.4021 0.5809
0.9068 0.3918 0.2468
0.9716 0.7163 0.2340
```